This entry pairs a crystal structure of CeCdPdRh with its calculated PXRD pattern. Radiation: a wavelength of 1.5418 Å. Structure: a structure optimized by DFT (PBE).

Peak list (6 most intense, 10 to 90 degrees two-theta, by angle)
- 22.6 deg, rel. 1
- 26.2 deg, rel. 1
- 37.4 deg, rel. 100
- 53.9 deg, rel. 17
- 67.5 deg, rel. 34
- 79.8 deg, rel. 11

Atomic structure:
abc: 6.7999 6.7999 6.7999
angles: 90.00 90.00 90.00
Fractional positions:
Ce: 0.0000 0.0000 0.0000
Ce: 0.0000 0.5000 0.5000
Ce: 0.5000 0.0000 0.5000
Ce: 0.5000 0.5000 0.0000
Cd: 0.0000 0.0000 0.5000
Cd: 0.0000 0.5000 0.0000
Cd: 0.5000 0.0000 0.0000
Cd: 0.5000 0.5000 0.5000
Pd: 0.2500 0.2500 0.2500
Pd: 0.2500 0.7500 0.7500
Pd: 0.7500 0.2500 0.7500
Pd: 0.7500 0.7500 0.2500
Rh: 0.2500 0.2500 0.7500
Rh: 0.2500 0.7500 0.2500
Rh: 0.7500 0.2500 0.2500
Rh: 0.7500 0.7500 0.7500

This entry pairs a crystal structure of CePmCd5 with its calculated PXRD pattern. Radiation: a wavelength of 1.5418 Å. Structure: a structure optimized by DFT (PBE).

Peak list (12 most intense, 10 to 90 degrees two-theta, by angle)
- 21.2 deg, rel. 27
- 34.4 deg, rel. 100
- 35.1 deg, rel. 95
- 35.3 deg, rel. 94
- 49.2 deg, rel. 18
- 49.7 deg, rel. 17
- 51.7 deg, rel. 18
- 61.9 deg, rel. 35
- 62.3 deg, rel. 34
- 63.6 deg, rel. 32
- 72.5 deg, rel. 11
- 74.1 deg, rel. 10

Atomic structure:
abc: 7.0750 7.4107 7.3341
angles: 90.00 90.00 90.00
Fractional positions:
Ce: 0.0000 0.0000 0.0000
Ce: 0.5000 0.5000 0.0000
Pm: 0.0000 0.5000 0.5000
Pm: 0.5000 0.0000 0.5000
Cd: 0.0000 0.0000 0.5000
Cd: 0.2500 0.2500 0.2424
Cd: 0.2500 0.2500 0.7576
Cd: 0.2500 0.7500 0.2424
Cd: 0.2500 0.7500 0.7576
Cd: 0.5000 0.5000 0.5000
Cd: 0.7500 0.2500 0.2424
Cd: 0.7500 0.2500 0.7576
Cd: 0.7500 0.7500 0.2424
Cd: 0.7500 0.7500 0.7576

This entry pairs a crystal structure of Ce2PrCd8 with its calculated PXRD pattern. Radiation: a wavelength of 1.5418 Å. Structure: a structure optimized by DFT (PBE).

Peak list (12 most intense, 10 to 90 degrees two-theta, by angle)
- 32.4 deg, rel. 88
- 32.6 deg, rel. 100
- 33.3 deg, rel. 41
- 33.7 deg, rel. 20
- 35.2 deg, rel. 22
- 35.4 deg, rel. 75
- 36.2 deg, rel. 62
- 36.5 deg, rel. 24
- 39.9 deg, rel. 20
- 45.0 deg, rel. 20
- 64.7 deg, rel. 27
- 66.2 deg, rel. 26

Atomic structure:
abc: 9.0408 9.0408 9.0408
angles: 145.32 137.33 56.10
Fractional positions:
Ce: 0.1909 0.1909 0.0000
Ce: 0.8091 0.8091 0.0000
Pr: 0.5000 0.0000 0.5000
Cd: 0.0000 0.2488 0.2488
Cd: 0.0000 0.7512 0.7512
Cd: 0.1460 0.3734 0.7726
Cd: 0.2978 0.7978 0.5000
Cd: 0.3992 0.6266 0.7726
Cd: 0.6008 0.3734 0.2274
Cd: 0.7022 0.2022 0.5000
Cd: 0.8540 0.6266 0.2274

This entry pairs a crystal structure of CePr3Cd4 with its calculated PXRD pattern. Radiation: a wavelength of 1.5418 Å. Structure: a structure optimized by DFT (PBE).

Peak list (12 most intense, 10 to 90 degrees two-theta, by angle)
- 23.0 deg, rel. 1
- 32.7 deg, rel. 100
- 32.8 deg, rel. 50
- 46.7 deg, rel. 9
- 47.1 deg, rel. 18
- 58.2 deg, rel. 19
- 58.5 deg, rel. 37
- 68.5 deg, rel. 11
- 68.7 deg, rel. 6
- 77.7 deg, rel. 8
- 78.2 deg, rel. 15
- 87.2 deg, rel. 6

Atomic structure:
abc: 3.8623 3.8623 15.5648
angles: 90.00 90.00 90.00
Fractional positions:
Ce: 0.0000 0.0000 0.0000
Pr: 0.0000 0.0000 0.2490
Pr: 0.0000 0.0000 0.5000
Pr: 0.0000 0.0000 0.7510
Cd: 0.5000 0.5000 0.1233
Cd: 0.5000 0.5000 0.3747
Cd: 0.5000 0.5000 0.6253
Cd: 0.5000 0.5000 0.8767

This entry pairs a crystal structure of Ce3CdPt with its calculated PXRD pattern. Radiation: a wavelength of 1.5418 Å. Structure: a structure optimized by DFT (PBE).

Peak list (12 most intense, 10 to 90 degrees two-theta, by angle)
- 17.4 deg, rel. 21
- 22.8 deg, rel. 16
- 28.9 deg, rel. 15
- 34.5 deg, rel. 19
- 34.6 deg, rel. 100
- 35.3 deg, rel. 40
- 35.8 deg, rel. 15
- 38.9 deg, rel. 20
- 40.1 deg, rel. 29
- 50.2 deg, rel. 13
- 62.9 deg, rel. 17
- 69.3 deg, rel. 15

Atomic structure:
abc: 9.3063 9.3063 6.5472
angles: 90.00 90.00 66.24
Fractional positions:
Ce: 0.1605 0.6621 0.5326
Ce: 0.1605 0.6621 0.9674
Ce: 0.2531 0.2531 0.0000
Ce: 0.2531 0.2531 0.5000
Ce: 0.3379 0.8395 0.5326
Ce: 0.3379 0.8395 0.9674
Ce: 0.6621 0.1605 0.0326
Ce: 0.6621 0.1605 0.4674
Ce: 0.7469 0.7469 0.0000
Ce: 0.7469 0.7469 0.5000
Ce: 0.8395 0.3379 0.0326
Ce: 0.8395 0.3379 0.4674
Cd: 0.0142 0.9858 0.2500
Cd: 0.4861 0.5139 0.2500
Cd: 0.5139 0.4861 0.7500
Cd: 0.9858 0.0142 0.7500
Pt: 0.0125 0.5132 0.2500
Pt: 0.4868 0.9875 0.2500
Pt: 0.5132 0.0125 0.7500
Pt: 0.9875 0.4868 0.7500

This entry pairs a crystal structure of Ce5CdPt3 with its calculated PXRD pattern. Radiation: a wavelength of 1.5418 Å. Structure: a structure optimized by DFT (PBE).

Peak list (12 most intense, 10 to 90 degrees two-theta, by angle)
- 31.7 deg, rel. 7
- 33.6 deg, rel. 100
- 37.3 deg, rel. 62
- 46.8 deg, rel. 15
- 51.1 deg, rel. 25
- 60.1 deg, rel. 19
- 62.6 deg, rel. 27
- 66.1 deg, rel. 5
- 69.5 deg, rel. 5
- 70.7 deg, rel. 12
- 76.3 deg, rel. 19
- 82.7 deg, rel. 13

Atomic structure:
abc: 9.2354 9.2354 5.6516
angles: 90.00 90.00 120.00
Fractional positions:
Ce: 0.0000 0.3307 0.2500
Ce: 0.0000 0.6693 0.7500
Ce: 0.3307 0.0000 0.2500
Ce: 0.3307 0.3307 0.7500
Ce: 0.3333 0.6667 0.0000
Ce: 0.3333 0.6667 0.5000
Ce: 0.6667 0.3333 0.0000
Ce: 0.6667 0.3333 0.5000
Ce: 0.6693 0.0000 0.7500
Ce: 0.6693 0.6693 0.2500
Cd: 0.0000 0.0000 0.0000
Cd: 0.0000 0.0000 0.5000
Pt: 0.0000 0.3332 0.7500
Pt: 0.0000 0.6668 0.2500
Pt: 0.3332 0.0000 0.7500
Pt: 0.3332 0.3332 0.2500
Pt: 0.6668 0.0000 0.2500
Pt: 0.6668 0.6668 0.7500